Pm4SiRu: computed XRD peak list (Cu Ka), based on a DFT-relaxed cell (GGA-PBE, Alexandria).
Neutral-atom scattering factors, no anomalous dispersion.

Crystal structure
```
Pm4SiRu
1.0
7.2053 0.0000 0.0000
0.0000 7.0852 0.0000
-0.2733 0.0000 6.9816
Pm Si Ru
8 2 2
direct
0.1595 0.1645 0.1757
0.1595 0.3355 0.6757
0.3202 0.6634 0.1531
0.3202 0.8366 0.6531
0.6798 0.1634 0.3469
0.6798 0.3366 0.8469
0.8405 0.6645 0.3243
0.8405 0.8355 0.8243
0.5000 0.0000 0.0000
0.5000 0.5000 0.5000
0.0000 0.0000 0.5000
0.0000 0.5000 0.0000
```

Principal peaks in the range 2θ = 10–90°, in order of falling intensity:
- 2θ 28.25, I 100
- 2θ 27.80, I 95
- 2θ 27.97, I 58
- 2θ 31.09, I 56
- 2θ 30.72, I 43
- 2θ 28.86, I 43
- 2θ 42.29, I 37
- 2θ 47.59, I 37
- 2θ 48.90, I 27
- 2θ 48.60, I 25

***

InCu2P: computed XRD peak list (Cu Ka), based on a DFT-relaxed cell (GGA-PBE, Alexandria).
Neutral-atom scattering factors, no anomalous dispersion.

Crystal structure
```
InCu2P
1.0
7.3096 0.0000 0.0000
0.0000 3.0581 0.0000
-1.6793 0.0000 6.0182
In Cu P
2 4 2
direct
0.0000 0.0000 0.0000
0.5000 0.5000 0.0000
0.2461 0.0000 0.6755
0.2539 0.5000 0.3245
0.7461 0.5000 0.6755
0.7539 0.0000 0.3245
0.0000 0.5000 0.5000
0.5000 0.0000 0.5000
```

Principal peaks in the range 2θ = 10–90°, in order of falling intensity:
- 2θ 36.77, I 100
- 2θ 33.58, I 49
- 2θ 47.97, I 47
- 2θ 41.60, I 37
- 2θ 25.65, I 36
- 2θ 32.74, I 23
- 2θ 51.95, I 20
- 2θ 44.56, I 20
- 2θ 45.20, I 19
- 2θ 31.91, I 16

***

Ac2Ag6Au3: computed XRD peak list (Cu Ka), based on a DFT-relaxed cell (GGA-PBE, Alexandria).
Neutral-atom scattering factors, no anomalous dispersion.

Crystal structure
```
Ac2Ag6Au3
1.0
8.1811 0.0000 0.0000
-4.0905 7.0850 0.0000
0.0000 0.0000 4.4535
Ac Ag Au
2 6 3
direct
0.3333 0.6667 0.0000
0.6667 0.3333 0.0000
0.0000 0.1989 0.0000
0.0000 0.7505 0.5000
0.1989 0.0000 0.0000
0.2495 0.2495 0.5000
0.7505 0.0000 0.5000
0.8011 0.8011 0.0000
0.0000 0.4108 0.5000
0.4108 0.0000 0.5000
0.5892 0.5892 0.5000
```

Principal peaks in the range 2θ = 10–90°, in order of falling intensity:
- 2θ 29.65, I 100
- 2θ 39.26, I 89
- 2θ 33.46, I 43
- 2θ 32.29, I 39
- 2θ 40.51, I 35
- 2θ 46.20, I 26
- 2θ 53.52, I 22
- 2θ 38.10, I 22
- 2θ 63.10, I 21
- 2θ 21.73, I 17

***

Li6Ac2Si3: computed XRD peak list (Cu Ka), based on a DFT-relaxed cell (GGA-PBE, Alexandria).
Neutral-atom scattering factors, no anomalous dispersion.

Crystal structure
```
Li6Ac2Si3
1.0
8.1493 0.0000 0.0000
-4.0746 7.0575 0.0000
0.0000 0.0000 4.2858
Li Ac Si
6 2 3
direct
0.0000 0.2892 0.0000
0.0000 0.7943 0.5000
0.2057 0.2057 0.5000
0.2892 0.0000 0.0000
0.7108 0.7108 0.0000
0.7943 0.0000 0.5000
0.3333 0.6667 0.5000
0.6667 0.3333 0.5000
0.0000 0.6289 0.0000
0.3711 0.3711 0.0000
0.6289 0.0000 0.0000
```

Principal peaks in the range 2θ = 10–90°, in order of falling intensity:
- 2θ 30.27, I 100
- 2θ 12.54, I 77
- 2θ 21.81, I 72
- 2θ 38.26, I 31
- 2θ 24.30, I 30
- 2θ 49.54, I 25
- 2θ 64.27, I 24
- 2θ 39.80, I 21
- 2θ 20.73, I 21
- 2θ 32.88, I 20

***

Ta11Si2Se8: computed XRD peak list (Cu Ka), based on a DFT-relaxed cell (GGA-PBE, Alexandria).
Neutral-atom scattering factors, no anomalous dispersion.

Crystal structure
```
Ta11Si2Se8
1.0
11.9880 0.0000 0.0000
0.0000 19.6100 0.0000
0.0000 0.0000 3.4872
Ta Si Se
22 4 16
direct
0.0000 0.0000 0.0000
0.0526 0.2404 0.0000
0.0664 0.1129 0.5000
0.1575 0.7869 0.5000
0.1778 0.9522 0.5000
0.1815 0.3547 0.5000
0.3185 0.8547 0.0000
0.3222 0.4522 0.0000
0.3425 0.2869 0.0000
0.4336 0.6129 0.0000
0.4474 0.7404 0.5000
0.5000 0.5000 0.5000
0.5526 0.2596 0.5000
0.5664 0.3871 0.0000
0.6575 0.7131 0.0000
0.6778 0.5478 0.0000
0.6815 0.1453 0.0000
0.8185 0.6453 0.5000
0.8222 0.0478 0.5000
0.8425 0.2131 0.5000
0.9336 0.8871 0.5000
0.9474 0.7596 0.0000
0.0898 0.8723 0.0000
0.4102 0.3723 0.5000
0.5898 0.6277 0.5000
0.9102 0.1277 0.0000
0.0356 0.6745 0.5000
0.1094 0.4447 0.0000
0.2137 0.0562 0.0000
0.2195 0.2125 0.5000
0.2805 0.7125 0.0000
0.2863 0.5562 0.5000
0.3906 0.9447 0.5000
0.4644 0.1745 0.0000
0.5356 0.8255 0.0000
0.6094 0.0553 0.5000
0.7137 0.4438 0.5000
0.7195 0.2875 0.0000
0.7805 0.7875 0.5000
0.7863 0.9438 0.0000
0.8906 0.5553 0.0000
0.9644 0.3255 0.5000
```

Principal peaks in the range 2θ = 10–90°, in order of falling intensity:
- 2θ 35.24, I 100
- 2θ 40.74, I 95
- 2θ 11.66, I 73
- 2θ 32.38, I 62
- 2θ 37.64, I 56
- 2θ 34.12, I 51
- 2θ 52.48, I 45
- 2θ 36.87, I 44
- 2θ 42.12, I 41
- 2θ 37.78, I 38

***

LiHoPuIr: computed XRD peak list (Cu Ka), based on a DFT-relaxed cell (GGA-PBE, Alexandria).
Neutral-atom scattering factors, no anomalous dispersion.

Crystal structure
```
LiHoPuIr
1.0
6.9325 0.0000 0.0000
0.0000 6.9325 0.0000
0.0000 0.0000 6.9325
Li Ho Pu Ir
4 4 4 4
direct
0.0000 0.0000 0.0000
0.0000 0.5000 0.5000
0.5000 0.0000 0.5000
0.5000 0.5000 0.0000
0.2500 0.2500 0.7500
0.2500 0.7500 0.2500
0.7500 0.2500 0.2500
0.7500 0.7500 0.7500
0.2500 0.2500 0.2500
0.2500 0.7500 0.7500
0.7500 0.2500 0.7500
0.7500 0.7500 0.2500
0.0000 0.0000 0.5000
0.0000 0.5000 0.0000
0.5000 0.0000 0.0000
0.5000 0.5000 0.5000
```

Principal peaks in the range 2θ = 10–90°, in order of falling intensity:
- 2θ 36.66, I 100
- 2θ 66.02, I 37
- 2θ 22.21, I 26
- 2θ 52.82, I 18
- 2θ 89.39, I 17
- 2θ 25.70, I 15
- 2θ 43.29, I 14
- 2θ 77.96, I 12
- 2θ 57.99, I 6
- 2θ 59.65, I 6

***

Sc3TaNb3N8: computed XRD peak list (Cu Ka), based on a DFT-relaxed cell (GGA-PBE, Alexandria).
Neutral-atom scattering factors, no anomalous dispersion.

Crystal structure
```
Sc3TaNb3N8
1.0
3.1074 1.7940 5.2304
-3.1074 1.7940 5.2304
0.0000 -3.5881 5.2304
Sc Ta Nb N
3 1 3 8
direct
0.0000 0.5000 0.5000
0.5000 0.0000 0.5000
0.5000 0.5000 0.0000
0.5000 0.5000 0.5000
0.0000 0.0000 0.5000
0.0000 0.5000 0.0000
0.5000 0.0000 0.0000
0.2507 0.2507 0.2507
0.2562 0.7391 0.7391
0.2609 0.2609 0.7438
0.2609 0.7438 0.2609
0.7391 0.2562 0.7391
0.7391 0.7391 0.2562
0.7438 0.2609 0.2609
0.7493 0.7493 0.7493
```

Principal peaks in the range 2θ = 10–90°, in order of falling intensity:
- 2θ 40.66, I 100
- 2θ 35.26, I 74
- 2θ 16.95, I 71
- 2θ 33.79, I 37
- 2θ 58.20, I 32
- 2θ 17.42, I 31
- 2θ 59.50, I 30
- 2θ 34.29, I 27
- 2θ 70.50, I 21
- 2θ 44.34, I 17

***

K2PuI2O2: computed XRD peak list (Cu Ka), based on a DFT-relaxed cell (GGA-PBE, Alexandria).
Neutral-atom scattering factors, no anomalous dispersion.

Crystal structure
```
K2PuI2O2
1.0
4.4390 0.0000 0.0000
0.0000 4.4390 0.0000
0.0000 0.0000 19.9573
K Pu I O
4 2 4 4
direct
0.0000 0.0000 0.1023
0.0000 0.0000 0.8977
0.5000 0.5000 0.3977
0.5000 0.5000 0.6023
0.0000 0.0000 0.5000
0.5000 0.5000 0.0000
0.0000 0.0000 0.3389
0.0000 0.0000 0.6611
0.5000 0.5000 0.1611
0.5000 0.5000 0.8389
0.0000 0.5000 0.0000
0.0000 0.5000 0.5000
0.5000 0.0000 0.0000
0.5000 0.0000 0.5000
```

Principal peaks in the range 2θ = 10–90°, in order of falling intensity:
- 2θ 20.50, I 100
- 2θ 28.44, I 72
- 2θ 30.11, I 71
- 2θ 37.49, I 44
- 2θ 40.65, I 35
- 2θ 39.47, I 32
- 2θ 51.41, I 31
- 2θ 26.80, I 30
- 2θ 56.48, I 27
- 2θ 45.94, I 26

***

UZnSi2: computed XRD peak list (Cu Ka), based on a DFT-relaxed cell (GGA-PBE, Alexandria).
Neutral-atom scattering factors, no anomalous dispersion.

Crystal structure
```
UZnSi2
1.0
4.0173 0.0000 0.0000
0.0000 4.0173 0.0000
0.0000 0.0000 17.1369
U Zn Si
4 4 8
direct
0.0000 0.0000 0.1134
0.0000 0.0000 0.8866
0.5000 0.5000 0.3866
0.5000 0.5000 0.6134
0.0000 0.5000 0.2500
0.0000 0.5000 0.7500
0.5000 0.0000 0.2500
0.5000 0.0000 0.7500
0.0000 0.0000 0.3594
0.0000 0.0000 0.6406
0.0000 0.5000 0.0000
0.0000 0.5000 0.5000
0.5000 0.0000 0.0000
0.5000 0.0000 0.5000
0.5000 0.5000 0.1406
0.5000 0.5000 0.8594
```

Principal peaks in the range 2θ = 10–90°, in order of falling intensity:
- 2θ 38.01, I 100
- 2θ 22.74, I 71
- 2θ 34.40, I 44
- 2θ 45.14, I 33
- 2θ 78.54, I 25
- 2θ 57.96, I 20
- 2θ 20.73, I 19
- 2θ 27.14, I 18
- 2θ 63.49, I 18
- 2θ 51.12, I 18

***

Tb2SmC3: computed XRD peak list (Cu Ka), based on a DFT-relaxed cell (GGA-PBE, Alexandria).
Neutral-atom scattering factors, no anomalous dispersion.

Crystal structure
```
Tb2SmC3
1.0
-2.8777 5.1879 3.7988
2.8777 -5.1879 3.7988
2.8777 5.1879 -3.7988
Tb Sm C
4 2 6
direct
0.2428 0.1669 0.0759
0.4089 0.8331 0.5759
0.5911 0.1669 0.4241
0.7572 0.8331 0.9241
0.2176 0.4676 0.7500
0.7824 0.5324 0.2500
0.0000 0.3817 0.3817
0.0000 0.6183 0.6183
0.5000 0.0000 0.0000
0.5000 0.3817 0.8817
0.5000 0.5000 0.5000
0.5000 0.6183 0.1183
```

Principal peaks in the range 2θ = 10–90°, in order of falling intensity:
- 2θ 25.93, I 100
- 2θ 38.85, I 73
- 2θ 28.35, I 69
- 2θ 31.08, I 67
- 2θ 42.57, I 53
- 2θ 29.46, I 51
- 2θ 14.45, I 48
- 2θ 57.64, I 33
- 2θ 38.52, I 32
- 2θ 39.93, I 30